Diffraction record for TaMnNiPS. The XRD peak list is theoretical, not measured: it uses a GGA-PBE-relaxed structure and CuKα.

The 6 most intense peaks (2θ from 10° to 80°), by intensity:
- d 2.057, I = 100, (1 1 3)
- d 2.452, I = 54, (1 1 1)
- d 3.430, I = 43, (0 1 1)
- d 2.931, I = 37, (1 0 2)
- d 2.539, I = 35, (0 1 3)
- d 3.507, I = 33, (1 0 0)

Atomic structure:
Lattice parameters (Å, degrees): 3.507 3.622 10.680 90.00 90.00 90.00
Fractional positions:
1 Ta 0.000 0.000 0.000
2 Ta 0.000 0.500 0.500
3 Mn 0.000 0.000 0.722
4 Mn 0.000 0.500 0.222
5 Ni 0.500 0.000 0.205
6 Ni 0.500 0.500 0.705
7 P 0.500 0.000 0.580
8 P 0.500 0.500 0.080
9 S 0.000 0.000 0.330
10 S 0.000 0.500 0.830